Theoretical powder diffraction line list of MgTe2W2O12 for Cu Kα, from a structure optimized by DFT (PBE+U).

Crystal structure
Unit cell a=5.168 b=5.596 c=7.705 alpha=91.84 beta=91.82 gamma=90.07
Fractional positions:
Mg 0.000 0.000 0.000
Te 0.031 0.558 0.223
Te 0.508 0.076 0.732
W 0.009 0.565 0.722
W 0.526 0.085 0.246
O 0.107 0.619 0.979
O 0.215 0.933 0.249
O 0.245 0.836 0.670
O 0.285 0.344 0.668
O 0.377 0.399 0.254
O 0.378 0.101 0.963
O 0.621 0.064 0.487
O 0.718 0.827 0.161
O 0.761 0.835 0.802
O 0.799 0.294 0.803
O 0.842 0.553 0.518
O 0.845 0.261 0.158

Largest 10 diffraction maxima, in order of rising 2θ, 2θ = 15–90°:
Position (°2θ)  I (rel.)  h k l
23.11  51  0 0 2
23.44  100  1 1 0
32.01  20  0 2 0
32.40  19  1 1 -2
33.14  35  1 -1 2
33.94  16  1 1 2
34.74  13  2 0 0
52.16  13  1 -3 0
53.38  10  1 -1 4
53.83  11  2 -2 2